This entry pairs a crystal structure of V11Ga3 with its simulated powder XRD pattern. Radiation: CuKα. Structure: DFT lattice parameters and positions (PBE).

The 6 most intense peaks (2θ = 10–90°), sorted by position:
h k l	d [Å]	two_theta	I/Imax
2 0 0	2.200	41.03	61
0 3 3	2.124	42.57	42
1 0 5	2.105	42.97	75
1 3 2	2.047	44.24	100
2 3 3	1.528	60.60	27
3 3 2	1.239	76.98	18

Crystal structure
```
data_V11Ga3
_chemical_formula_sum 'V22 Ga6'
_symmetry_space_group_name_H-M 'I m m m'
_symmetry_Int_Tables_number 71
_symmetry_space_group_name_Hall '-I 2 2'
_cell_length_a 4.400
_cell_length_b 7.523
_cell_length_c 11.984
_cell_angle_alpha 90.00
_cell_angle_beta 90.00
_cell_angle_gamma 90.00
loop_
_atom_site_label
_atom_site_type_symbol
_atom_site_fract_x
_atom_site_fract_y
_atom_site_fract_z
V1 V 0.000 0.000 0.000
V2 V 0.000 0.166 0.291
V3 V 0.000 0.315 0.105
V4 V 0.000 0.500 0.316
Ga1 Ga 0.000 0.000 0.500
Ga2 Ga 0.000 0.320 0.500
```

---

This entry pairs a crystal structure of V7Ga with its simulated powder XRD pattern. Radiation: CuKα. Structure: DFT lattice parameters and positions (PBE).

The 6 most intense peaks (2θ = 10–90°), sorted by position:
h k l	d [Å]	two_theta	I/Imax
1 1 4	2.131	42.43	100
2 0 0	2.122	42.61	50
0 0 8	1.513	61.26	7
2 2 0	1.500	61.85	15
2 0 8	1.232	77.48	14
3 1 4	1.227	77.88	29

Crystal structure
```
data_V7Ga
_chemical_formula_sum 'V14 Ga2'
_symmetry_space_group_name_H-M 'I 4/m m m'
_symmetry_Int_Tables_number 139
_symmetry_space_group_name_Hall '-I 4 2'
_cell_length_a 4.243
_cell_length_b 4.243
_cell_length_c 12.104
_cell_angle_alpha 90.00
_cell_angle_beta 90.00
_cell_angle_gamma 90.00
loop_
_atom_site_label
_atom_site_type_symbol
_atom_site_fract_x
_atom_site_fract_y
_atom_site_fract_z
V1 V 0.000 0.000 0.000
V2 V 0.000 0.000 0.247
V3 V 0.000 0.500 0.131
Ga1 Ga 0.000 0.000 0.500
```

---

This entry pairs a crystal structure of V5Ga4 with its simulated powder XRD pattern. Radiation: CuKα. Structure: DFT lattice parameters and positions (PBE).

The 6 most intense peaks (2θ = 10–90°), sorted by position:
h k l	d [Å]	two_theta	I/Imax
3 0 1	2.191	41.20	100
3 3 0	2.047	44.24	40
0 0 2	1.676	54.78	10
6 0 0	1.448	64.35	12
3 3 2	1.297	72.96	17
6 3 1	1.208	79.33	26

Crystal structure
```
data_V5Ga4
_chemical_formula_sum 'V10 Ga8'
_symmetry_space_group_name_H-M 'I 4/m m m'
_symmetry_Int_Tables_number 139
_symmetry_space_group_name_Hall '-I 4 2'
_cell_length_a 8.686
_cell_length_b 8.686
_cell_length_c 3.351
_cell_angle_alpha 90.00
_cell_angle_beta 90.00
_cell_angle_gamma 90.00
loop_
_atom_site_label
_atom_site_type_symbol
_atom_site_fract_x
_atom_site_fract_y
_atom_site_fract_z
V1 V 0.000 0.000 0.000
V2 V 0.000 0.335 0.000
Ga1 Ga 0.168 0.168 0.500
```

---

> Which formula does entry 1 have?

V11Ga3